Diffraction record for Pr3Mg3Zn2Pd. The X-ray powder pattern is theoretical, not measured: it uses DFT lattice parameters and positions (GGA-PBE) and Cu Kα, 1.54184 Å.

Structural model:
Lattice parameters (Å, degrees): 7.7826 7.7826 4.1771 90.00 90.00 120.00
Positions (direct):
Pr (0.0000, 0.5878, 0.0000)
Pr (0.4122, 0.4122, 0.0000)
Pr (0.5878, 0.0000, 0.0000)
Mg (0.0000, 0.2349, 0.5000)
Mg (0.2349, 0.0000, 0.5000)
Mg (0.7651, 0.7651, 0.5000)
Zn (0.3333, 0.6667, 0.5000)
Zn (0.6667, 0.3333, 0.5000)
Pd (0.0000, 0.0000, 0.0000)

Largest 6 diffraction maxima, in order of falling intensity, 10° ≤ 2θ ≤ 90°:
Position (°2θ), I (rel.)
34.2, 100
31.4, 78
26.4, 34
22.9, 34
53.7, 29
40.1, 26

***

Diffraction record for MgPdPt2S6. The X-ray powder pattern is theoretical, not measured: it uses DFT lattice parameters and positions (GGA-PBE) and Cu Kα, 1.54184 Å.

Structural model:
Lattice parameters (Å, degrees): 7.3401 7.3401 3.6955 90.00 90.00 108.33
Positions (direct):
Mg (0.0000, 0.0000, 0.0000)
Pd (0.5000, 0.5000, 0.0000)
Pt (0.0000, 0.5000, 0.5000)
Pt (0.5000, 0.0000, 0.5000)
S (0.1572, 0.8428, 0.5000)
S (0.1668, 0.4163, 0.0000)
S (0.4163, 0.1668, 0.0000)
S (0.5837, 0.8332, 0.0000)
S (0.8332, 0.5837, 0.0000)
S (0.8428, 0.1572, 0.5000)

Largest 6 diffraction maxima, in order of falling intensity, 10° ≤ 2θ ≤ 90°:
Position (°2θ), I (rel.)
25.6, 100
28.4, 95
44.4, 86
14.9, 54
51.5, 36
20.7, 31

***

Diffraction record for MgPdPt2Se6. The X-ray powder pattern is theoretical, not measured: it uses DFT lattice parameters and positions (GGA-PBE) and Cu Kα, 1.54184 Å.

Structural model:
Lattice parameters (Å, degrees): 7.7367 7.7367 3.8876 90.00 90.00 107.94
Positions (direct):
Mg (0.0000, 0.0000, 0.0000)
Pd (0.5000, 0.5000, 0.0000)
Pt (0.0000, 0.5000, 0.5000)
Pt (0.5000, 0.0000, 0.5000)
Se (0.1569, 0.8431, 0.5000)
Se (0.1672, 0.4142, 0.0000)
Se (0.4142, 0.1672, 0.0000)
Se (0.5858, 0.8328, 0.0000)
Se (0.8328, 0.5858, 0.0000)
Se (0.8431, 0.1569, 0.5000)

Largest 6 diffraction maxima, in order of falling intensity, 10° ≤ 2θ ≤ 90°:
Position (°2θ), I (rel.)
42.1, 100
27.0, 69
24.2, 53
14.2, 40
19.5, 29
48.6, 27

***

Diffraction record for Mg4Sb4Pd5. The X-ray powder pattern is theoretical, not measured: it uses DFT lattice parameters and positions (GGA-PBE) and Cu Kα, 1.54184 Å.

Structural model:
Lattice parameters (Å, degrees): 14.8876 14.8876 14.8876 17.47 17.47 17.47
Positions (direct):
Mg (0.0000, 0.0000, 0.0000)
Mg (0.2437, 0.2437, 0.2437)
Mg (0.4957, 0.4957, 0.4957)
Mg (0.7464, 0.7464, 0.7464)
Sb (0.1222, 0.1222, 0.1222)
Sb (0.3732, 0.3732, 0.3732)
Sb (0.6239, 0.6239, 0.6239)
Sb (0.8697, 0.8697, 0.8697)
Pd (0.0603, 0.0603, 0.0603)
Pd (0.3107, 0.3107, 0.3107)
Pd (0.5592, 0.5592, 0.5592)
Pd (0.8081, 0.8081, 0.8081)
Pd (0.9344, 0.9344, 0.9344)

Largest 6 diffraction maxima, in order of falling intensity, 10° ≤ 2θ ≤ 90°:
Position (°2θ), I (rel.)
39.9, 100
40.1, 97
24.1, 74
47.2, 36
72.5, 32
57.8, 32

***

Diffraction record for Mg2TaSb3Pd3. The X-ray powder pattern is theoretical, not measured: it uses DFT lattice parameters and positions (GGA-PBE) and Cu Kα, 1.54184 Å.

Structural model:
Lattice parameters (Å, degrees): 7.7116 7.7116 7.7081 99.65 99.65 119.84
Positions (direct):
Mg (0.0836, 0.9164, 0.5000)
Mg (0.2464, 0.7457, 0.0000)
Mg (0.7457, 0.2464, 0.5000)
Mg (0.9164, 0.0836, 0.0000)
Ta (0.4123, 0.5797, 0.4994)
Ta (0.5797, 0.4123, 0.9994)
Sb (0.1585, 0.3309, 0.7517)
Sb (0.3309, 0.1585, 0.2517)
Sb (0.4985, 0.9928, 0.7508)
Sb (0.6698, 0.8360, 0.2468)
Sb (0.8360, 0.6698, 0.7468)
Sb (0.9928, 0.4985, 0.2508)
Pd (0.0494, 0.2166, 0.3773)
Pd (0.2166, 0.0494, 0.8773)
Pd (0.3742, 0.8625, 0.3771)
Pd (0.5371, 0.6914, 0.8677)
Pd (0.6914, 0.5371, 0.3677)
Pd (0.8625, 0.3742, 0.8771)

Largest 6 diffraction maxima, in order of falling intensity, 10° ≤ 2θ ≤ 90°:
Position (°2θ), I (rel.)
40.5, 100
24.5, 34
40.6, 20
73.7, 16
24.4, 15
28.3, 14

***

Diffraction record for Mg2Ta4PdSe12. The X-ray powder pattern is theoretical, not measured: it uses DFT lattice parameters and positions (GGA-PBE) and Cu Kα, 1.54184 Å.

Structural model:
Lattice parameters (Å, degrees): 7.5823 7.5823 19.2876 109.42 109.42 27.66
Positions (direct):
Mg (0.0211, 0.0211, 0.2869)
Mg (0.9789, 0.9789, 0.7131)
Ta (0.3284, 0.3284, 0.5680)
Ta (0.4940, 0.4940, 0.1422)
Ta (0.5060, 0.5060, 0.8578)
Ta (0.6716, 0.6716, 0.4320)
Pd (0.0000, 0.0000, 0.0000)
Se (0.0396, 0.0396, 0.4218)
Se (0.1160, 0.1160, 0.1281)
Se (0.1225, 0.1225, 0.9396)
Se (0.2998, 0.2998, 0.4291)
Se (0.3511, 0.3511, 0.7190)
Se (0.3893, 0.3893, 0.2183)
Se (0.6107, 0.6107, 0.7817)
Se (0.6489, 0.6489, 0.2810)
Se (0.7002, 0.7002, 0.5709)
Se (0.8775, 0.8775, 0.0604)
Se (0.8840, 0.8840, 0.8719)
Se (0.9604, 0.9604, 0.5782)

Largest 6 diffraction maxima, in order of falling intensity, 10° ≤ 2θ ≤ 90°:
Position (°2θ), I (rel.)
12.0, 100
32.8, 44
13.2, 34
26.5, 25
50.3, 24
34.6, 23